Diffraction record for ScVSe2O8. The powder XRD pattern is theoretical, not measured: it uses the PBE+U geometry in the Materials Project and Cu Kα.

Top 10 peaks for 2θ = 5–70°, by angle:
2θ (°)	I (rel.)
18.1	26
19.8	20
21.5	55
25.4	24
26.3	30
26.4	19
26.9	100
29.0	67
30.2	65
39.4	19

Atomic structure:
Unit cell a=9.154 b=5.210 c=15.297 alpha=90.00 beta=110.40 gamma=90.00
Element x y z (fractional)
Sc: 0.194 0.196 0.111
Sc: 0.194 0.304 0.611
Sc: 0.806 0.696 0.389
Sc: 0.806 0.804 0.889
V: 0.370 0.645 0.016
V: 0.370 0.855 0.516
V: 0.630 0.145 0.484
V: 0.630 0.355 0.984
Se: 0.058 0.197 0.370
Se: 0.058 0.303 0.870
Se: 0.394 0.706 0.805
Se: 0.394 0.794 0.305
Se: 0.606 0.206 0.695
Se: 0.606 0.294 0.195
Se: 0.942 0.697 0.130
Se: 0.942 0.803 0.630
O: 0.005 0.519 0.600
O: 0.005 0.981 0.100
O: 0.108 0.512 0.165
O: 0.108 0.988 0.665
O: 0.159 0.083 0.485
O: 0.159 0.417 0.985
O: 0.295 0.723 0.883
O: 0.295 0.777 0.383
O: 0.298 0.608 0.560
O: 0.298 0.892 0.060
O: 0.320 0.067 0.246
O: 0.320 0.433 0.746
O: 0.415 0.095 0.626
O: 0.415 0.405 0.126
O: 0.440 0.212 0.460
O: 0.440 0.288 0.960
O: 0.560 0.712 0.040
O: 0.560 0.788 0.540
O: 0.585 0.595 0.874
O: 0.585 0.905 0.374
O: 0.680 0.567 0.254
O: 0.680 0.933 0.754
O: 0.702 0.108 0.940
O: 0.702 0.392 0.440
O: 0.705 0.223 0.617
O: 0.705 0.277 0.117
O: 0.841 0.583 0.015
O: 0.841 0.917 0.515
O: 0.892 0.012 0.335
O: 0.892 0.488 0.835
O: 0.995 0.019 0.900
O: 0.995 0.481 0.400